# CsTh2Te6
Computed powder XRD pattern, a wavelength of 1.5418 Å. Input: a GGA-PBE-relaxed structure.
Lines closer than 0.1° are merged.

Structural model:
Unit cell a=6.2753 b=12.7783 c=12.7783 alpha=20.17 beta=90.00 gamma=90.00
Sites, in units of the cell vectors:
Cs 0.0000 0.0000 0.0000
Th 0.0000 0.8145 0.8145
Th 0.5000 0.1787 0.1787
Te 0.0000 0.2234 0.2234
Te 0.2456 0.3839 0.3839
Te 0.2574 0.6097 0.6097
Te 0.5000 0.7696 0.7696
Te 0.7426 0.6097 0.6097
Te 0.7544 0.3839 0.3839

The 6 most intense peaks (2θ from 10° to 90°), in order of falling intensity:
26.7 deg, d 3.344, I 100
35.1 deg, d 2.557, I 64
31.9 deg, d 2.808, I 32
36.6 deg, d 2.456, I 29
15.8 deg, d 5.615, I 24
40.3 deg, d 2.237, I 22